Diffraction record for Y2NiB10. The XRD peak list is theoretical, not measured: it uses a cell relaxed with PBE and Cu Ka.
No peak broadening, texture or thermal motion is included.

Largest 6 diffraction maxima, low angle first, 2θ = 15–90°:
22.7 deg, intensity 47; 28.0 deg, intensity 40; 31.4 deg, intensity 98; 39.1 deg, intensity 100; 46.3 deg, intensity 25; 49.7 deg, intensity 26

Cell and atoms:
```
Y2NiB10
1.0
5.5564 0.0000 0.0000
0.0000 11.0928 0.0000
0.0000 0.0000 4.1459
Y Ni B
4 2 20
Cartesian
1.0724 1.5128 0.0000 Y
1.7058 7.0591 0.0000 Y
3.8506 4.0336 0.0000 Y
4.4840 9.5800 0.0000 Y
0.0000 5.5464 2.0730 Ni
2.7782 0.0000 2.0730 Ni
0.1969 3.4624 2.0730 B
0.6951 10.6381 2.0730 B
0.8562 8.9032 2.0730 B
1.1314 4.2822 0.8260 B
1.1314 4.2822 3.3199 B
1.6467 9.8285 0.8260 B
1.6467 9.8285 3.3199 B
1.9220 3.3568 2.0730 B
2.0831 5.0917 2.0730 B
2.5813 9.0088 2.0730 B
2.9751 2.0839 2.0730 B
3.4733 6.0011 2.0730 B
3.6344 7.7360 2.0730 B
3.9096 1.2642 0.8260 B
3.9096 1.2642 3.3199 B
4.4249 6.8106 0.8260 B
4.4249 6.8106 3.3199 B
4.7002 2.1896 2.0730 B
4.8613 0.4547 2.0730 B
5.3595 7.6303 2.0730 B
```